Starting from the GGA+U geometry in Alexandria, the powder X-ray diffraction pattern of Li7Mn5O12 was computed for Cu Kα, 1.54184 Å.

Largest 10 diffraction maxima, in order of rising 2θ, 2θ = 5–70°:
hkl 1 0 0, 4.839 Å, intensity 100.0
hkl 0 2 -2, 2.613 Å, intensity 16.2
hkl -1 2 1, 2.488 Å, intensity 11.9
hkl 0 0 3, 2.478 Å, intensity 11.6
hkl 1 2 -2, 2.182 Å, intensity 35.0
hkl -2 2 1, 2.057 Å, intensity 28.7
hkl 1 0 3, 2.050 Å, intensity 28.2
hkl 1 2 1, 1.930 Å, intensity 8.7
hkl 1 -4 1, 1.503 Å, intensity 8.5
hkl 3 0 -3, 1.491 Å, intensity 16.3

Structure:
```
data_Li7Mn5O12
_chemical_formula_sum 'Li7 Mn5 O12'
_space_group_name_H-M_alt 'P -1'
_space_group_IT_number 2
_cell_length_a 5.0940
_cell_length_b 6.0209
_cell_length_c 7.8010
_cell_angle_alpha 103.67
_cell_angle_beta 97.15
_cell_angle_gamma 104.41
loop_
_space_group_symop_operation_xyz
'x,y,z'
'-x,-y,-z'
loop_
_atom_site_label
_atom_site_type_symbol
_atom_site_fract_x
_atom_site_fract_y
_atom_site_fract_z
_atom_site_occupancy
Li1 Li 0.0000 0.0000 0.0000 1
Li2 Li 0.4855 0.9170 0.1598 1
Li3 Li 0.4892 0.2438 0.5011 1
Li4 Li 0.4957 0.5816 0.8374 1
Mn1 Mn 0.0000 0.5000 0.0000 1
Mn2 Mn 0.0021 0.3326 0.3293 1
Mn3 Mn 0.0058 0.8418 0.3288 1
O1 O 0.2173 0.4505 0.5806 1
O2 O 0.2172 0.7567 0.9131 1
O3 O 0.2236 0.2958 0.9075 1
O4 O 0.2303 0.1279 0.2588 1
O5 O 0.2324 0.9647 0.5740 1
O6 O 0.2372 0.6367 0.2369 1
```